Record 1
# La4S
Calculated X-ray diffraction stick pattern, Cu Kα. Input: a structure optimized by DFT (PBE).

Crystal structure
Lattice parameters (Å, degrees): 5.6347 5.6347 5.6347 90.00 90.00 90.00
Element x y z (fractional)
1 La 0.0000 0.0000 0.0000
2 La 0.0000 0.5000 0.5000
3 La 0.5000 0.0000 0.5000
4 La 0.5000 0.5000 0.0000
5 S 0.5000 0.5000 0.5000

The 10 most intense peaks (2θ from 10° to 80°), low angle first:
| h k l | 2theta | intensity |
| --- | --- | --- |
| 1 0 0 | 15.73 | 15 |
| 1 1 0 | 22.31 | 12 |
| 1 1 1 | 27.42 | 1000 |
| 2 0 0 | 31.76 | 656 |
| 2 2 0 | 45.53 | 479 |
| 3 1 1 | 53.97 | 461 |
| 2 2 2 | 56.58 | 167 |
| 4 0 0 | 66.36 | 77 |
| 3 3 1 | 73.22 | 184 |
| 4 2 0 | 75.45 | 212 |

=====

Record 2
# Zn2Ag2O5
Calculated X-ray diffraction stick pattern, Cu Kα. Input: a structure optimized by DFT (PBE).

Crystal structure
Lattice parameters (Å, degrees): 3.6696 10.9242 6.3943 90.00 90.00 90.00
Element x y z (fractional)
1 Zn 0.0000 0.1364 0.0000
2 Zn 0.0000 0.3189 0.3069
3 Zn 0.0000 0.6811 0.8069
4 Zn 0.0000 0.8636 0.5000
5 Ag 0.5000 0.0997 0.5155
6 Ag 0.5000 0.4102 0.9030
7 Ag 0.5000 0.5898 0.4030
8 Ag 0.5000 0.9003 0.0155
9 O 0.0000 0.1384 0.3221
10 O 0.0000 0.3254 0.0036
11 O 0.0000 0.6746 0.5036
12 O 0.0000 0.8616 0.8221
13 O 0.5000 0.0817 0.9058
14 O 0.5000 0.2833 0.6102
15 O 0.5000 0.3631 0.4247
16 O 0.5000 0.6369 0.9247
17 O 0.5000 0.7167 0.1102
18 O 0.5000 0.9183 0.4058

The 10 most intense peaks (2θ from 10° to 80°), low angle first:
| h k l | 2theta | intensity |
| --- | --- | --- |
| 0 2 1 | 21.40 | 199 |
| 0 0 2 | 27.91 | 413 |
| 0 1 2 | 29.10 | 285 |
| 1 1 1 | 29.26 | 735 |
| 1 2 1 | 32.56 | 1000 |
| 0 4 0 | 32.79 | 331 |
| 0 4 1 | 35.75 | 247 |
| 0 4 2 | 43.62 | 263 |
| 2 0 0 | 49.69 | 253 |
| 1 1 3 | 50.19 | 248 |

=====

Q: What is the formula in the first record?
A: La4S